The following is a calculated powder diffraction line list of ThPa2P4. It was derived from DFT lattice parameters and positions (GGA-PBE), using Cu Kα, 1.54184 Å.

Most intense lines, 2θ from 5° to 70°, by angle:
2θ = 24.4°, intensity 32; 2θ = 24.9°, intensity 100; 2θ = 26.7°, intensity 33; 2θ = 27.3°, intensity 41; 2θ = 31.0°, intensity 37; 2θ = 33.3°, intensity 48; 2θ = 42.8°, intensity 42; 2θ = 46.1°, intensity 24; 2θ = 52.6°, intensity 28; 2θ = 66.8°, intensity 24

Lattice parameters (Å, degrees): 6.9587 6.9587 12.6989 90.00 90.00 146.74
Atoms (fractional coordinates):
Th 0.1176 0.8824 0.7500
Th 0.8824 0.1176 0.2500
Pa 0.3683 0.6317 0.5642
Pa 0.3683 0.6317 0.9358
Pa 0.6317 0.3683 0.0642
Pa 0.6317 0.3683 0.4358
P 0.0000 0.0000 0.0000
P 0.0000 0.0000 0.5000
P 0.2658 0.7342 0.1264
P 0.2658 0.7342 0.3736
P 0.4639 0.5361 0.7500
P 0.5361 0.4639 0.2500
P 0.7342 0.2658 0.6264
P 0.7342 0.2658 0.8736